Calculated powder diffraction line list of Pr2Y3Sc3 for Cu Kα (λ = 1.5418 Å), from a cell relaxed with PBE.
Kinematic intensities with the Lorentz-polarization factor, no thermal factor.

Cell and atoms:
```
data_Pr2Y3Sc3
_chemical_formula_sum 'Pr4 Y6 Sc6'
_symmetry_space_group_name_H-M 'C 1 2/m 1'
_symmetry_Int_Tables_number 12
_cell_length_a 23.2568
_cell_length_b 3.5327
_cell_length_c 6.0577
_cell_angle_alpha 90.00
_cell_angle_beta 105.02
_cell_angle_gamma 90.00
loop_
_symmetry_equiv_pos_as_xyz
'x,y,z'
'-x,-y,-z'
'-x,y,-z'
'x,-y,z'
'x+1/2,y+1/2,z'
'-x+1/2,-y+1/2,-z'
'-x+1/2,y+1/2,-z'
'x+1/2,-y+1/2,z'
loop_
_atom_site_label
_atom_site_fract_x
_atom_site_fract_y
_atom_site_fract_z
Pr1 0.2448 0.0000 0.2391
Y1 0.0000 0.0000 0.0000
Y2 0.1219 0.0000 0.4636
Sc1 0.0000 0.5000 0.5000
Sc2 0.1208 0.5000 0.9531
```

Largest 10 diffraction maxima, sorted by position, 2θ from 10° to 90°:
d = 3.052 Å, 2θ 29.27, I = 17, hkl 1 1 -1; d = 2.945 Å, 2θ 30.35, I = 32, hkl 1 1 1; d = 2.924 Å, 2θ 30.58, I = 17, hkl 4 0 -2; d = 2.808 Å, 2θ 31.87, I = 42, hkl 8 0 0; d = 2.681 Å, 2θ 33.42, I = 100, hkl 5 1 -1; d = 2.666 Å, 2θ 33.62, I = 45, hkl 2 0 2; d = 2.365 Å, 2θ 38.05, I = 15, hkl 7 1 -1; d = 1.753 Å, 2θ 52.18, I = 20, hkl 3 1 -3; d = 1.596 Å, 2θ 57.78, I = 20, hkl 13 1 -1; d = 1.487 Å, 2θ 62.45, I = 22, hkl 11 1 -3


Calculated powder diffraction line list of Pr11Y9Sc4 for Cu Kα (λ = 1.5418 Å), from a cell relaxed with PBE.
Kinematic intensities with the Lorentz-polarization factor, no thermal factor.

Cell and atoms:
```
data_Pr11Y9Sc4
_chemical_formula_sum 'Pr22 Y18 Sc8'
_symmetry_space_group_name_H-M 'C m m m'
_symmetry_Int_Tables_number 65
_symmetry_space_group_name_Hall '-C 2 2'
_cell_length_a 16.9929
_cell_length_b 25.6943
_cell_length_c 3.6304
_cell_angle_alpha 90.00
_cell_angle_beta 90.00
_cell_angle_gamma 90.00
loop_
_atom_site_label
_atom_site_fract_x
_atom_site_fract_y
_atom_site_fract_z
Pr1 0.0000 0.0000 0.0000
Pr2 0.0000 0.1593 0.0000
Pr3 0.0000 0.3708 0.0000
Pr4 0.2008 0.5000 0.0000
Pr5 0.2264 0.1800 0.0000
Y1 0.0000 0.5000 0.5000
Y2 0.1023 0.2690 0.5000
Y3 0.1456 0.0719 0.5000
Sc1 0.1565 0.3979 0.5000
```

Largest 10 diffraction maxima, sorted by position, 2θ from 10° to 90°:
d = 3.159 Å, 2θ 28.25, I = 24, hkl 5 3 0; d = 3.016 Å, 2θ 29.62, I = 81, hkl 4 6 0; d = 2.962 Å, 2θ 30.17, I = 28, hkl 2 4 1; d = 2.921 Å, 2θ 30.61, I = 24, hkl 1 5 1; d = 2.879 Å, 2θ 31.07, I = 34, hkl 3 3 1; d = 2.815 Å, 2θ 31.78, I = 23, hkl 1 9 0; d = 2.769 Å, 2θ 32.34, I = 100, hkl 0 6 1; d = 2.760 Å, 2θ 32.44, I = 85, hkl 4 0 1; d = 1.815 Å, 2θ 50.26, I = 24, hkl 0 0 2; d = 1.555 Å, 2θ 59.45, I = 28, hkl 4 6 2


Calculated powder diffraction line list of Pr5YSc for Cu Kα (λ = 1.5418 Å), from a cell relaxed with PBE.
Kinematic intensities with the Lorentz-polarization factor, no thermal factor.

Cell and atoms:
```
data_Pr5YSc
_chemical_formula_sum 'Pr5 Y1 Sc1'
_symmetry_space_group_name_H-M 'P 4/m m m'
_symmetry_Int_Tables_number 123
_symmetry_space_group_name_Hall '-P 4 2'
_cell_length_a 5.4271
_cell_length_b 5.4271
_cell_length_c 8.5270
_cell_angle_alpha 90.00
_cell_angle_beta 90.00
_cell_angle_gamma 90.00
loop_
_atom_site_label
_atom_site_fract_x
_atom_site_fract_y
_atom_site_fract_z
Pr1 0.0000 0.0000 0.0000
Pr2 0.0000 0.5000 0.2885
Y1 0.5000 0.5000 0.0000
Sc1 0.5000 0.5000 0.5000
```

Largest 10 diffraction maxima, sorted by position, 2θ from 10° to 90°:
d = 3.838 Å, 2θ 23.18, I = 15, hkl 1 1 0; d = 3.499 Å, 2θ 25.45, I = 29, hkl 1 1 1; d = 2.852 Å, 2θ 31.36, I = 100, hkl 1 1 2; d = 2.842 Å, 2θ 31.47, I = 13, hkl 0 0 3; d = 2.714 Å, 2θ 33.01, I = 51, hkl 2 0 0; d = 1.963 Å, 2θ 46.26, I = 18, hkl 2 0 3; d = 1.919 Å, 2θ 47.38, I = 18, hkl 2 2 0; d = 1.676 Å, 2θ 54.76, I = 12, hkl 2 0 4; d = 1.592 Å, 2θ 57.94, I = 43, hkl 3 1 2; d = 1.558 Å, 2θ 59.30, I = 14, hkl 1 1 5


Calculated powder diffraction line list of Pr7Y3Sc for Cu Kα (λ = 1.5418 Å), from a cell relaxed with PBE.
Kinematic intensities with the Lorentz-polarization factor, no thermal factor.

Cell and atoms:
```
data_Pr7Y3Sc
_chemical_formula_sum 'Pr14 Y6 Sc2'
_symmetry_space_group_name_H-M 'C 1 2/m 1'
_symmetry_Int_Tables_number 12
_cell_length_a 12.8556
_cell_length_b 11.4952
_cell_length_c 5.8938
_cell_angle_alpha 90.00
_cell_angle_beta 117.26
_cell_angle_gamma 90.00
loop_
_symmetry_equiv_pos_as_xyz
'x,y,z'
'-x,-y,-z'
'-x,y,-z'
'x,-y,z'
'x+1/2,y+1/2,z'
'-x+1/2,-y+1/2,-z'
'-x+1/2,y+1/2,-z'
'x+1/2,-y+1/2,z'
loop_
_atom_site_label
_atom_site_fract_x
_atom_site_fract_y
_atom_site_fract_z
Pr1 0.0000 0.0000 0.0000
Pr2 0.1898 0.2865 0.6897
Pr3 0.2158 0.5000 0.2149
Y1 0.0000 0.2974 0.0000
Y2 0.0000 0.5000 0.5000
Sc1 0.0000 0.0000 0.5000
```

Largest 10 diffraction maxima, sorted by position, 2θ from 10° to 90°:
d = 3.865 Å, 2θ 23.01, I = 17, hkl 3 1 -1; d = 3.199 Å, 2θ 27.89, I = 15, hkl 4 0 -1; d = 2.947 Å, 2θ 30.33, I = 37, hkl 2 0 -2; d = 2.874 Å, 2θ 31.12, I = 19, hkl 0 4 0; d = 2.857 Å, 2θ 31.31, I = 9, hkl 4 0 0; d = 2.798 Å, 2θ 31.99, I = 100, hkl 3 3 -1; d = 2.057 Å, 2θ 44.01, I = 15, hkl 2 4 -2; d = 1.998 Å, 2θ 45.39, I = 10, hkl 4 2 1; d = 1.671 Å, 2θ 54.95, I = 26, hkl 5 3 -3; d = 1.525 Å, 2θ 60.75, I = 12, hkl 3 7 -1


Calculated powder diffraction line list of Pr5Y5Sc2 for Cu Kα (λ = 1.5418 Å), from a cell relaxed with PBE.
Kinematic intensities with the Lorentz-polarization factor, no thermal factor.

Cell and atoms:
```
data_Pr5Y5Sc2
_chemical_formula_sum 'Pr10 Y10 Sc4'
_symmetry_space_group_name_H-M 'C 1 2/m 1'
_symmetry_Int_Tables_number 12
_cell_length_a 15.1712
_cell_length_b 5.0607
_cell_length_c 11.3205
_cell_angle_alpha 90.00
_cell_angle_beta 116.42
_cell_angle_gamma 90.00
loop_
_symmetry_equiv_pos_as_xyz
'x,y,z'
'-x,-y,-z'
'-x,y,-z'
'x,-y,z'
'x+1/2,y+1/2,z'
'-x+1/2,-y+1/2,-z'
'-x+1/2,y+1/2,-z'
'x+1/2,-y+1/2,z'
loop_
_atom_site_label
_atom_site_fract_x
_atom_site_fract_y
_atom_site_fract_z
Pr1 0.0000 0.0000 0.0000
Pr2 0.1632 0.0000 0.4994
Pr3 0.2455 0.5000 0.7492
Y1 0.0000 0.5000 0.5000
Y2 0.0798 0.5000 0.2494
Y3 0.1677 0.5000 0.9999
Sc1 0.0835 0.0000 0.7540
```

Largest 10 diffraction maxima, sorted by position, 2θ from 10° to 90°:
d = 2.923 Å, 2θ 30.59, I = 100, hkl 3 1 1; d = 2.531 Å, 2θ 35.46, I = 50, hkl 0 2 0; d = 1.791 Å, 2θ 50.99, I = 17, hkl 0 2 4; d = 1.788 Å, 2θ 51.07, I = 17, hkl 6 2 -2; d = 1.528 Å, 2θ 60.61, I = 14, hkl 3 1 -7; d = 1.526 Å, 2θ 60.71, I = 27, hkl 3 3 1; d = 1.461 Å, 2θ 63.68, I = 12, hkl 6 2 -6; d = 1.162 Å, 2θ 83.11, I = 8, hkl 3 3 -7; d = 1.161 Å, 2θ 83.25, I = 8, hkl 9 3 -5; d = 1.132 Å, 2θ 85.87, I = 6, hkl 0 4 4


Calculated powder diffraction line list of Pr5YSc2 for Cu Kα (λ = 1.5418 Å), from a cell relaxed with PBE.
Kinematic intensities with the Lorentz-polarization factor, no thermal factor.

Cell and atoms:
```
data_Pr5YSc2
_chemical_formula_sum 'Pr20 Y4 Sc8'
_symmetry_space_group_name_H-M 'I 4/m c m'
_symmetry_Int_Tables_number 140
_symmetry_space_group_name_Hall '-I 4 2c'
_cell_length_a 9.1720
_cell_length_b 9.1720
_cell_length_c 12.6149
_cell_angle_alpha 90.00
_cell_angle_beta 90.00
_cell_angle_gamma 90.00
loop_
_atom_site_label
_atom_site_fract_x
_atom_site_fract_y
_atom_site_fract_z
Pr1 0.0000 0.0000 0.0000
Pr2 0.1485 0.3515 0.1594
Y1 0.0000 0.0000 0.2500
Sc1 0.1486 0.3514 0.5000
```

Largest 10 diffraction maxima, sorted by position, 2θ from 10° to 90°:
d = 3.901 Å, 2θ 22.80, I = 22, hkl 2 1 1; d = 3.243 Å, 2θ 27.51, I = 11, hkl 2 2 0; d = 2.936 Å, 2θ 30.44, I = 100, hkl 2 1 3; d = 2.900 Å, 2θ 30.83, I = 70, hkl 3 1 0; d = 2.836 Å, 2θ 31.54, I = 20, hkl 1 1 4; d = 2.599 Å, 2θ 34.52, I = 14, hkl 2 0 4; d = 2.051 Å, 2θ 44.16, I = 11, hkl 4 2 0; d = 1.855 Å, 2θ 49.12, I = 11, hkl 4 0 4; d = 1.702 Å, 2θ 53.86, I = 13, hkl 3 1 6; d = 1.579 Å, 2θ 58.47, I = 24, hkl 5 2 3


Calculated powder diffraction line list of PrY3Sc7 for Cu Kα (λ = 1.5418 Å), from a cell relaxed with PBE.
Kinematic intensities with the Lorentz-polarization factor, no thermal factor.

Cell and atoms:
```
data_PrY3Sc7
_chemical_formula_sum 'Pr2 Y6 Sc14'
_symmetry_space_group_name_H-M 'C 1 2/m 1'
_symmetry_Int_Tables_number 12
_cell_length_a 12.1325
_cell_length_b 10.5311
_cell_length_c 5.4777
_cell_angle_alpha 90.00
_cell_angle_beta 116.70
_cell_angle_gamma 90.00
loop_
_symmetry_equiv_pos_as_xyz
'x,y,z'
'-x,-y,-z'
'-x,y,-z'
'x,-y,z'
'x+1/2,y+1/2,z'
'-x+1/2,-y+1/2,-z'
'-x+1/2,y+1/2,-z'
'x+1/2,-y+1/2,z'
loop_
_atom_site_label
_atom_site_fract_x
_atom_site_fract_y
_atom_site_fract_z
Pr1 0.0000 0.0000 0.0000
Y1 0.0000 0.2918 0.5000
Y2 0.0000 0.5000 0.0000
Sc1 0.0000 0.0000 0.5000
Sc2 0.2091 0.5000 0.7083
Sc3 0.2197 0.3110 0.2196
```

Largest 10 diffraction maxima, sorted by position, 2θ from 10° to 90°:
d = 5.420 Å, 2θ 16.36, I = 29, hkl 2 0 0; d = 3.583 Å, 2θ 24.85, I = 90, hkl 2 2 -1; d = 3.340 Å, 2θ 26.69, I = 23, hkl 1 3 0; d = 2.739 Å, 2θ 32.70, I = 66, hkl 2 0 -2; d = 2.710 Å, 2θ 33.06, I = 49, hkl 4 0 0; d = 2.633 Å, 2θ 34.05, I = 24, hkl 0 4 0; d = 2.617 Å, 2θ 34.26, I = 100, hkl 2 2 1; d = 2.595 Å, 2θ 34.57, I = 53, hkl 3 3 -1; d = 1.554 Å, 2θ 59.48, I = 22, hkl 6 2 -3; d = 1.434 Å, 2θ 65.05, I = 20, hkl 6 2 1


Calculated powder diffraction line list of Pr5Se4 for Cu Kα (λ = 1.5418 Å), from a cell relaxed with PBE.
Kinematic intensities with the Lorentz-polarization factor, no thermal factor.

Cell and atoms:
```
data_Pr5Se4
_chemical_formula_sum 'Pr10 Se8'
_symmetry_space_group_name_H-M 'P 63/m c m'
_symmetry_Int_Tables_number 193
_symmetry_space_group_name_Hall '-P 6c 2'
_cell_length_a 9.0297
_cell_length_b 9.0297
_cell_length_c 6.6591
_cell_angle_alpha 90.00
_cell_angle_beta 90.00
_cell_angle_gamma 120.00
loop_
_atom_site_label
_atom_site_fract_x
_atom_site_fract_y
_atom_site_fract_z
Pr1 0.0000 0.2705 0.2500
Pr2 0.3333 0.6667 0.0000
Se1 0.0000 0.0000 0.0000
Se2 0.0000 0.3881 0.7500
```

Largest 10 diffraction maxima, sorted by position, 2θ from 10° to 90°:
d = 3.737 Å, 2θ 23.81, I = 10, hkl 1 1 1; d = 2.702 Å, 2θ 33.16, I = 54, hkl 2 1 1; d = 2.680 Å, 2θ 33.44, I = 100, hkl 1 1 2; d = 2.607 Å, 2θ 34.41, I = 67, hkl 3 0 0; d = 1.868 Å, 2θ 48.74, I = 26, hkl 2 2 2; d = 1.775 Å, 2θ 51.49, I = 15, hkl 2 1 3; d = 1.732 Å, 2θ 52.85, I = 12, hkl 3 2 1; d = 1.665 Å, 2θ 55.17, I = 10, hkl 0 0 4; d = 1.519 Å, 2θ 61.01, I = 14, hkl 4 1 2; d = 1.403 Å, 2θ 66.65, I = 22, hkl 3 0 4


Q: Number 7 is which compound?
A: PrY3Sc7